# 1
Structure and simulated PXRD pattern of MgPPtO (a crystal structure in OQMD, relaxed with GGA-PBE; Cu Ka).

Largest 10 diffraction maxima, sorted by position, 10° ≤ 2θ ≤ 90°:
Position (°2θ)	Rel. int.	(hkl)
10.35	100	0 0 1
20.79	41	0 0 2
31.47	17	1 1 0
33.23	33	1 1 1
38.03	25	1 1 2
45.09	37	2 0 0
46.43	11	2 0 1
50.18	16	2 0 2
53.67	12	1 1 4
63.55	13	2 0 4

Atomic structure:
```
data_MgPPtO
_chemical_formula_sum 'Mg2 P2 Pt2 O2'
_cell_length_a 4.018
_cell_length_b 4.018
_cell_length_c 8.546
_cell_angle_alpha 90.00
_cell_angle_beta 90.00
_cell_angle_gamma 90.00
_space_group_name_H-M_alt 'P 4/n m m'
_space_group_IT_number 129
loop_
_space_group_symop_operation_xyz
'x,y,z'
'-x,-y,-z'
'-y+1/2,x,z'
'y+1/2,-x,-z'
'-x+1/2,-y+1/2,z'
'x+1/2,y+1/2,-z'
'y,-x+1/2,z'
'-y,x+1/2,-z'
'x+1/2,-y,-z'
'-x+1/2,y,z'
'-y,-x,-z'
'y,x,z'
'-x,y+1/2,-z'
'x,-y+1/2,z'
'y+1/2,x+1/2,-z'
'-y+1/2,-x+1/2,z'
loop_
_atom_site_label
_atom_site_fract_x
_atom_site_fract_y
_atom_site_fract_z
Mg1 0.250 0.250 0.006
P1 0.250 0.250 0.349
Pt1 0.250 0.750 0.500
O1 0.250 0.750 0.000
```


# 2
Structure and simulated PXRD pattern of Nd4S3Br6 (a crystal structure in OQMD, relaxed with GGA-PBE; Cu Ka).

Largest 10 diffraction maxima, sorted by position, 10° ≤ 2θ ≤ 90°:
Position (°2θ)	Rel. int.	(hkl)
18.21	41	1 1 1
20.41	66	3 1 1
22.64	43	5 1 -1
24.01	43	8 0 0
30.16	50	10 0 0
31.52	100	4 2 1
33.44	63	6 2 -1
36.23	54	8 0 2
37.74	44	10 0 -2
39.69	40	1 1 -3

Atomic structure:
```
data_Nd4S3Br6
_chemical_formula_sum 'Nd16 S12 Br24'
_cell_length_a 29.730
_cell_length_b 6.926
_cell_length_c 7.211
_cell_angle_alpha 90.00
_cell_angle_beta 94.74
_cell_angle_gamma 90.00
_space_group_name_H-M_alt 'C 1 2/c 1'
_space_group_IT_number 15
_space_group_name_Hall '-C 2yc'
loop_
_atom_site_label
_atom_site_fract_x
_atom_site_fract_y
_atom_site_fract_z
Nd1 0.057 0.190 0.485
Nd2 0.171 0.194 0.094
S1 0.000 0.051 0.750
S2 0.116 0.050 0.791
Br1 0.052 0.393 0.110
Br2 0.156 0.407 0.445
Br3 0.235 0.083 0.815
```